Entry 1:
For LiScCu4Ge2, a structure optimized by DFT (GGA-PBE) gives the computed powder XRD pattern in this record (Cu Ka).

Cell: 4.2080 4.2080 6.2107 Å, 90.00 90.00 90.00°
Space group P4/mmm (No. 123)
Unique sites:
Li 0.0000 0.0000 0.0000 (multiplicity 1)
Sc 0.5000 0.5000 0.5000 (multiplicity 1)
Cu 0.0000 0.5000 0.2252 (multiplicity 4)
Ge 0.0000 0.0000 0.5000 (multiplicity 1)
Ge 0.5000 0.5000 0.0000 (multiplicity 1)

The 6 most intense peaks (2θ = 5–70°), in order of falling intensity:
(1 1 2), 2θ = 42.06°, I 100
(2 0 0), 2θ = 42.99°, I 50
(1 0 1), 2θ = 25.57°, I 18
(2 2 0), 2θ = 62.42°, I 15
(0 0 4), 2θ = 59.54°, I 7
(1 1 1), 2θ = 33.39°, I 6

---

Entry 2:
For ZnGa, a structure optimized by DFT (GGA-PBE) gives the computed powder XRD pattern in this record (Cu Ka).

Cell: 5.7480 4.7988 7.4297 Å, 90.00 101.47 90.00°
Space group P2_1/m (No. 11)
Unique sites:
Zn 0.0287 0.2500 0.1122 (multiplicity 2)
Zn 0.1357 0.7500 0.5569 (multiplicity 2)
Zn 0.3589 0.2500 0.4468 (multiplicity 2)
Ga 0.1895 0.2500 0.7741 (multiplicity 2)
Ga 0.3035 0.7500 0.2270 (multiplicity 2)
Ga 0.4713 0.7500 0.8837 (multiplicity 2)

The 6 most intense peaks (2θ = 5–70°), in order of falling intensity:
(2 1 -2), 2θ = 40.98°, I 100
(2 1 1), 2θ = 41.14°, I 99
(0 1 3), 2θ = 41.70°, I 96
(0 2 0), 2θ = 37.48°, I 86
(2 0 -2), 2θ = 36.24°, I 24
(2 0 1), 2θ = 36.42°, I 24

---

Number 1 is which compound? LiScCu4Ge2